The following is a simulated powder diffraction line list of HoTm2PuN4. It was derived from a structure optimized by DFT (GGA-PBE), using Cu Kα, 1.54184 Å.

Peak list (10 most intense, 10° ≤ 2θ ≤ 80°, most intense first)
- 2θ 31.95, 2.801 Å, rel. 100, hkl 2 0 0
- 2θ 37.03, 2.428 Å, rel. 46, hkl 1 1 1
- 2θ 53.45, 1.714 Å, rel. 39, hkl 2 0 2
- 2θ 37.14, 2.421 Å, rel. 23, hkl 2 0 -2
- 2θ 63.65, 1.462 Å, rel. 22, hkl 3 1 1
- 2θ 63.51, 1.465 Å, rel. 15, hkl 2 2 0
- 2θ 66.73, 1.402 Å, rel. 8, hkl 2 2 -2
- 2θ 66.88, 1.399 Å, rel. 8, hkl 4 0 0
- 2θ 53.28, 1.719 Å, rel. 8, hkl 0 2 0
- 2θ 63.74, 1.460 Å, rel. 7, hkl 4 0 -2

Structure:
a = 5.932 Å, b = 3.439 Å, c = 5.932 Å
α = 90.00°, β = 109.39°, γ = 90.00°
Space group P2/m (No. 10)
Asymmetric unit:
1 Ho 0.000 0.000 0.000 x1
2 Tm 0.000 0.500 0.500 x1
3 Tm 0.500 0.000 0.500 x1
4 Pu 0.500 0.500 0.000 x1
5 N 0.253 0.000 0.750 x2
6 N 0.254 0.500 0.251 x2